Calculated powder diffraction line list
Compound: HoTm3Th4S8
Radiation: copper Kα
Structure: a crystal structure in Alexandria, relaxed with GGA-PBE

Cell and atoms:
```
data_HoTm3Th4S8
_chemical_formula_sum 'Ho3 Tm9 Th12 S24'
_symmetry_space_group_name_H-M 'R -3 m'
_symmetry_Int_Tables_number 166
_symmetry_space_group_name_Hall '-R 3 2"'
_cell_length_a 7.7351
_cell_length_b 7.7351
_cell_length_c 20.1631
_cell_angle_alpha 90.00
_cell_angle_beta 90.00
_cell_angle_gamma 120.00
loop_
_atom_site_label
_atom_site_fract_x
_atom_site_fract_y
_atom_site_fract_z
Ho1 0.0000 0.0000 0.0000
Tm1 0.0000 0.5000 0.0000
Th1 0.0000 0.0000 0.5000
Th2 0.0000 0.5000 0.5000
S1 0.0000 0.0000 0.2574
S2 0.0018 0.5009 0.2570
```

Most intense lines, 2θ = 5–70°, sorted by position:
2θ/deg, d/Å, I (rel.)
26.5, 3.361, 27
28.1, 3.179, 70
32.1, 2.790, 100
45.0, 2.014, 39
47.0, 1.934, 35
54.8, 1.676, 24